Structure and theoretical powder XRD pattern of Cs2UBr4O2 (a structure optimized by DFT (PBE); copper Kα).

Main lines, in order of falling intensity (2θ = 15–90°):
2theta  I_rel  index
28.20  100  2 1 -1
28.72  89  0 1 3
30.11  66  1 3 0
16.84  60  1 1 -1
19.67  59  1 0 -2
20.36  55  1 1 1
22.84  47  1 2 -1
22.46  45  1 2 0
27.04  41  1 1 2
30.40  34  1 3 -1

Crystal structure
```
data_Cs2UBr4O2
_chemical_formula_sum 'Cs4 U2 Br8 O4'
_space_group_name_H-M_alt 'P 1 21/c 1'
_space_group_IT_number 14
_cell_length_a 6.6877
_cell_length_b 10.0254
_cell_length_c 10.1606
_cell_angle_alpha 90.00
_cell_angle_beta 105.12
_cell_angle_gamma 90.00
loop_
_space_group_symop_operation_xyz
'x,y,z'
'-x,-y,-z'
'-x,y+1/2,-z+1/2'
'x,-y+1/2,z+1/2'
loop_
_atom_site_label
_atom_site_type_symbol
_atom_site_fract_x
_atom_site_fract_y
_atom_site_fract_z
Cs1 Cs 0.1799 0.1178 0.3351
U1 U 0.5000 0.0000 0.0000
Br1 Br 0.2463 0.7300 0.4746
Br2 Br 0.3360 0.0579 0.7186
O1 O 0.2993 0.1016 0.0397
```